Entry 1:
For Zn4Co, the PBE geometry in Alexandria gives the computed powder X-ray diffraction pattern in this record (Cu Kα, 1.54184 Å).

abc: 5.4997 7.9071 3.9330
angles: 90.00 90.00 90.00
Space group Cmmm (No. 65)
Unique sites:
Zn 0.2476 0.0000 0.0000 [4 per cell]
Zn 0.2500 0.2500 0.5000 [4 per cell]
Co 0.0000 0.5000 0.5000 [2 per cell]

Peak list (10 most intense, 10 to 90 degrees two-theta, low angle first)
two_theta	intensity
19.66	15
32.10	59
32.56	28
45.91	26
46.16	25
46.38	100
67.14	15
76.61	13
85.32	15
85.69	15


Entry 2:
For ZrZn8Co4, the PBE geometry in Alexandria gives the computed powder X-ray diffraction pattern in this record (Cu Kα, 1.54184 Å).

abc: 8.5235 8.5235 4.9634
angles: 90.00 90.00 90.00
Space group I4/mmm (No. 139)
Unique sites:
Zr 0.0000 0.0000 0.0000 [2 per cell]
Zn 0.0000 0.2185 0.5000 [8 per cell]
Zn 0.0000 0.3372 0.0000 [8 per cell]
Co 0.2500 0.2500 0.2500 [8 per cell]

Peak list (10 most intense, 10 to 90 degrees two-theta, low angle first)
two_theta	intensity
36.20	14
36.44	31
42.14	37
42.38	100
47.46	43
47.69	26
69.32	13
76.82	6
77.41	15
77.55	16